Structure and simulated XRD peak list of TbDy2ThSc4 (DFT lattice parameters and positions (GGA-PBE); copper Kα).

Structure:
Lattice parameters (Å, degrees): 4.957 4.957 9.099 90.00 90.00 90.00
Sites, in units of the cell vectors:
Tb1 0.000 0.000 0.000
Dy1 0.000 0.000 0.500
Dy2 0.500 0.500 0.000
Th1 0.500 0.500 0.500
Sc1 0.000 0.500 0.252
Sc2 0.000 0.500 0.748
Sc3 0.500 0.000 0.252
Sc4 0.500 0.000 0.748

Main lines, low angle first (2θ from 10° to 90°):
2θ 19.51, intensity 29.0
2θ 25.41, intensity 31.3
2θ 32.24, intensity 100.0
2θ 36.24, intensity 36.4
2θ 39.62, intensity 14.2
2θ 41.49, intensity 18.0
2θ 47.66, intensity 12.3
2θ 52.19, intensity 12.7
2θ 54.77, intensity 21.9
2θ 62.69, intensity 29.0

Structure and simulated XRD peak list of Tb2DyThSc (DFT lattice parameters and positions (GGA-PBE); copper Kα).

Structure:
Lattice parameters (Å, degrees): 6.174 7.707 6.650 90.00 90.00 90.00
Sites, in units of the cell vectors:
Tb1 0.250 0.209 0.221
Tb2 0.250 0.791 0.221
Tb3 0.750 0.209 0.779
Tb4 0.750 0.791 0.779
Dy1 0.250 0.000 0.684
Dy2 0.750 0.000 0.316
Th1 0.250 0.500 0.906
Th2 0.750 0.500 0.094
Sc1 0.000 0.500 0.500
Sc2 0.500 0.500 0.500

Main lines, low angle first (2θ from 10° to 90°):
2θ 17.62, intensity 22.1
2θ 28.92, intensity 41.7
2θ 29.25, intensity 18.9
2θ 30.47, intensity 100.0
2θ 32.72, intensity 35.4
2θ 34.07, intensity 20.0
2θ 39.84, intensity 13.2
2θ 43.37, intensity 12.5
2θ 52.23, intensity 23.4
2θ 56.85, intensity 12.7

Structure and simulated XRD peak list of TbDy2ScTl4 (DFT lattice parameters and positions (GGA-PBE); copper Kα).

Structure:
Lattice parameters (Å, degrees): 9.224 9.224 9.224 33.42 33.42 33.42
Sites, in units of the cell vectors:
Tb1 0.000 0.000 0.000
Dy1 0.249 0.249 0.249
Dy2 0.751 0.751 0.751
Sc1 0.500 0.500 0.500
Tl1 0.127 0.127 0.127
Tl2 0.377 0.377 0.377
Tl3 0.623 0.623 0.623
Tl4 0.873 0.873 0.873

Main lines, low angle first (2θ from 10° to 90°):
2θ 23.69, intensity 10.2
2θ 33.70, intensity 100.0
2θ 33.80, intensity 99.7
2θ 48.47, intensity 36.4
2θ 60.20, intensity 18.8
2θ 60.42, intensity 56.8
2θ 70.85, intensity 11.6
2θ 71.10, intensity 11.7
2θ 80.85, intensity 16.3
2θ 81.03, intensity 16.5

Q: What is the formula in the first record?
A: TbDy2ThSc4